# 1
This entry pairs a crystal structure of Na5Hf2F13 with its theoretical powder X-ray diffraction pattern. Radiation: λ = 1.5418 Å (Cu Kα). Structure: a GGA-PBE-relaxed structure.
Kinematic intensities with the Lorentz-polarization factor, no thermal factor.

Peak list (10 most intense, 10 to 80 degrees two-theta, in order of rising 2θ)
- 16.0 deg, I 24
- 18.2 deg, I 34
- 18.4 deg, I 100
- 20.4 deg, I 35
- 21.8 deg, I 41
- 28.0 deg, I 25
- 29.5 deg, I 61
- 30.3 deg, I 78
- 49.3 deg, I 28
- 49.6 deg, I 54

Crystal structure
abc: 6.2014 6.2014 8.2004
angles: 96.26 96.26 50.99
Positions (direct):
Na 0.0000 0.0000 0.0000
Na 0.1625 0.1625 0.4293
Na 0.2782 0.2782 0.8438
Na 0.7218 0.7218 0.1562
Na 0.8375 0.8375 0.5707
Hf 0.4262 0.4262 0.2537
Hf 0.5738 0.5738 0.7463
F 0.0740 0.5594 0.3578
F 0.1347 0.5943 0.0650
F 0.1918 0.6794 0.7519
F 0.3206 0.8082 0.2481
F 0.4057 0.8653 0.9350
F 0.4406 0.9260 0.6422
F 0.5000 0.5000 0.5000
F 0.5594 0.0740 0.3578
F 0.5943 0.1347 0.0650
F 0.6794 0.1918 0.7519
F 0.8082 0.3206 0.2481
F 0.8653 0.4057 0.9350
F 0.9260 0.4406 0.6422

=====

# 2
This entry pairs a crystal structure of NaYHg6 with its theoretical powder X-ray diffraction pattern. Radiation: λ = 1.5418 Å (Cu Kα). Structure: a GGA-PBE-relaxed structure.
Kinematic intensities with the Lorentz-polarization factor, no thermal factor.

Peak list (10 most intense, 10 to 80 degrees two-theta, in order of rising 2θ)
- 15.4 deg, I 7
- 23.3 deg, I 14
- 31.1 deg, I 24
- 35.1 deg, I 23
- 35.8 deg, I 100
- 47.6 deg, I 15
- 55.3 deg, I 19
- 63.5 deg, I 19
- 67.2 deg, I 22
- 67.6 deg, I 16

Crystal structure
abc: 6.6475 6.6475 5.1094
angles: 90.00 90.00 120.00
Positions (direct):
Na 0.0000 0.0000 0.0000
Y 0.6667 0.3333 0.5000
Hg 0.0011 0.5006 0.0000
Hg 0.1668 0.3335 0.5000
Hg 0.1668 0.8332 0.5000
Hg 0.4994 0.5006 0.0000
Hg 0.4994 0.9989 0.0000
Hg 0.6665 0.8332 0.5000

=====

# 3
This entry pairs a crystal structure of GaPd7 with its theoretical powder X-ray diffraction pattern. Radiation: λ = 1.5418 Å (Cu Kα). Structure: a GGA-PBE-relaxed structure.
Kinematic intensities with the Lorentz-polarization factor, no thermal factor.

Peak list (10 most intense, 10 to 80 degrees two-theta, in order of rising 2θ)
- 38.1 deg, I 7
- 39.3 deg, I 100
- 40.5 deg, I 26
- 45.4 deg, I 14
- 45.8 deg, I 43
- 47.6 deg, I 6
- 66.5 deg, I 18
- 66.7 deg, I 14
- 68.2 deg, I 9
- 79.8 deg, I 9

Crystal structure
abc: 2.8052 2.8052 43.9068
angles: 90.00 90.00 90.00
Positions (direct):
Ga 0.2500 0.2500 0.1659
Ga 0.7500 0.7500 0.8341
Pd 0.2500 0.2500 0.2532
Pd 0.2500 0.2500 0.3434
Pd 0.2500 0.2500 0.4329
Pd 0.2500 0.2500 0.5224
Pd 0.2500 0.2500 0.6119
Pd 0.2500 0.2500 0.7015
Pd 0.2500 0.2500 0.7935
Pd 0.7500 0.7500 0.2065
Pd 0.7500 0.7500 0.2985
Pd 0.7500 0.7500 0.3881
Pd 0.7500 0.7500 0.4776
Pd 0.7500 0.7500 0.5671
Pd 0.7500 0.7500 0.6566
Pd 0.7500 0.7500 0.7468

=====

# 4
This entry pairs a crystal structure of HoTlGeS3 with its theoretical powder X-ray diffraction pattern. Radiation: λ = 1.5418 Å (Cu Kα). Structure: a GGA-PBE-relaxed structure.
Kinematic intensities with the Lorentz-polarization factor, no thermal factor.

Peak list (10 most intense, 10 to 80 degrees two-theta, in order of rising 2θ)
- 17.4 deg, I 67
- 22.6 deg, I 53
- 24.2 deg, I 68
- 24.6 deg, I 100
- 28.2 deg, I 64
- 31.8 deg, I 50
- 32.4 deg, I 89
- 33.6 deg, I 63
- 37.5 deg, I 65
- 46.8 deg, I 94

Crystal structure
abc: 8.2140 3.8777 10.6692
angles: 90.00 106.88 90.00
Positions (direct):
Ho 0.1423 0.2500 0.1542
Ho 0.8577 0.7500 0.8458
Tl 0.2600 0.7500 0.7276
Tl 0.7400 0.2500 0.2724
Ge 0.3590 0.7500 0.4388
Ge 0.6410 0.2500 0.5612
S 0.1019 0.2500 0.8931
S 0.1598 0.2500 0.4142
S 0.3870 0.7500 0.2245
S 0.6130 0.2500 0.7755
S 0.8402 0.7500 0.5858
S 0.8981 0.7500 0.1069

=====

# 5
This entry pairs a crystal structure of Dy2Er2InCu2Ge4 with its theoretical powder X-ray diffraction pattern. Radiation: λ = 1.5418 Å (Cu Kα). Structure: a GGA-PBE-relaxed structure.
Kinematic intensities with the Lorentz-polarization factor, no thermal factor.

Peak list (10 most intense, 10 to 80 degrees two-theta, in order of rising 2θ)
- 27.8 deg, I 25
- 33.0 deg, I 26
- 33.2 deg, I 74
- 34.4 deg, I 100
- 34.7 deg, I 30
- 35.9 deg, I 63
- 36.0 deg, I 40
- 37.1 deg, I 45
- 37.9 deg, I 25
- 42.7 deg, I 80

Crystal structure
abc: 8.0596 8.0596 7.1198
angles: 107.40 107.40 30.44
Positions (direct):
Dy 0.1519 0.1519 0.4317
Dy 0.8481 0.8481 0.5683
Er 0.0899 0.0899 0.8856
Er 0.9101 0.9101 0.1144
In 0.5000 0.5000 0.5000
Cu 0.2829 0.2829 0.8660
Cu 0.7171 0.7171 0.1340
Ge 0.3016 0.3016 0.2489
Ge 0.4374 0.4374 0.8403
Ge 0.5626 0.5626 0.1597
Ge 0.6984 0.6984 0.7511

=====

# 6
This entry pairs a crystal structure of Be2Fe3Si2Ir with its theoretical powder X-ray diffraction pattern. Radiation: λ = 1.5418 Å (Cu Kα). Structure: a GGA-PBE-relaxed structure.
Kinematic intensities with the Lorentz-polarization factor, no thermal factor.

Peak list (10 most intense, 10 to 80 degrees two-theta, in order of rising 2θ)
- 16.1 deg, I 19
- 22.9 deg, I 19
- 28.2 deg, I 27
- 32.6 deg, I 66
- 36.6 deg, I 14
- 40.2 deg, I 10
- 46.8 deg, I 100
- 58.2 deg, I 16
- 68.4 deg, I 10
- 77.9 deg, I 13

Crystal structure
abc: 3.8777 3.8777 5.4984
angles: 90.00 90.00 90.00
Positions (direct):
Be 0.0000 0.5000 0.2354
Be 0.5000 0.0000 0.7646
Fe 0.0000 0.0000 0.0000
Fe 0.0000 0.0000 0.5000
Fe 0.5000 0.5000 0.0000
Si 0.0000 0.5000 0.7674
Si 0.5000 0.0000 0.2326
Ir 0.5000 0.5000 0.5000

=====

# 7
This entry pairs a crystal structure of BaTmMgAs2 with its theoretical powder X-ray diffraction pattern. Radiation: λ = 1.5418 Å (Cu Kα). Structure: a GGA-PBE-relaxed structure.
Kinematic intensities with the Lorentz-polarization factor, no thermal factor.

Peak list (10 most intense, 10 to 80 degrees two-theta, in order of rising 2θ)
- 20.9 deg, I 36
- 27.7 deg, I 37
- 28.3 deg, I 43
- 32.1 deg, I 46
- 32.4 deg, I 27
- 33.5 deg, I 29
- 36.4 deg, I 100
- 41.3 deg, I 30
- 49.9 deg, I 15
- 51.8 deg, I 21

Crystal structure
abc: 9.2997 9.2997 6.8973
angles: 90.00 90.00 152.80
Positions (direct):
Ba 0.1970 0.8030 0.5000
Ba 0.8030 0.1970 0.0000
Tm 0.0266 0.9734 0.7979
Tm 0.9734 0.0266 0.2979
Mg 0.4003 0.5997 0.6270
Mg 0.5997 0.4003 0.1270
As 0.1625 0.8375 0.9992
As 0.4516 0.5484 0.0055
As 0.5484 0.4516 0.5055
As 0.8375 0.1625 0.4992

=====

# 8
This entry pairs a crystal structure of TaTeBr9 with its theoretical powder X-ray diffraction pattern. Radiation: λ = 1.5418 Å (Cu Kα). Structure: a GGA-PBE-relaxed structure.
Kinematic intensities with the Lorentz-polarization factor, no thermal factor.

Peak list (10 most intense, 10 to 80 degrees two-theta, in order of rising 2θ)
- 11.8 deg, I 33
- 15.3 deg, I 61
- 15.6 deg, I 88
- 19.7 deg, I 41
- 27.3 deg, I 31
- 29.2 deg, I 39
- 29.4 deg, I 69
- 30.7 deg, I 100
- 36.3 deg, I 83
- 46.9 deg, I 57

Crystal structure
abc: 6.7186 11.5594 10.0497
angles: 90.00 103.10 90.00
Positions (direct):
Ta 0.1432 0.2500 0.1400
Ta 0.8568 0.7500 0.8600
Te 0.2597 0.2500 0.5369
Te 0.7403 0.7500 0.4631
Br 0.0323 0.7500 0.3395
Br 0.0400 0.0976 0.3081
Br 0.0400 0.4024 0.3081
Br 0.2083 0.7500 0.9967
Br 0.2633 0.0924 0.0154
Br 0.2633 0.4076 0.0154
Br 0.4631 0.0851 0.6724
Br 0.4631 0.4149 0.6724
Br 0.4992 0.2500 0.3178
Br 0.5008 0.7500 0.6822
Br 0.5369 0.5851 0.3276
Br 0.5369 0.9149 0.3276
Br 0.7367 0.5924 0.9846
Br 0.7367 0.9076 0.9846
Br 0.7917 0.2500 0.0033
Br 0.9600 0.5976 0.6919
Br 0.9600 0.9024 0.6919
Br 0.9677 0.2500 0.6605

=====

# 9
This entry pairs a crystal structure of Er2TmSe3 with its theoretical powder X-ray diffraction pattern. Radiation: λ = 1.5418 Å (Cu Kα). Structure: a GGA-PBE-relaxed structure.
Kinematic intensities with the Lorentz-polarization factor, no thermal factor.

Peak list (10 most intense, 10 to 80 degrees two-theta, in order of rising 2θ)
- 26.9 deg, I 6
- 27.3 deg, I 17
- 31.5 deg, I 100
- 44.9 deg, I 38
- 45.4 deg, I 36
- 55.4 deg, I 7
- 56.3 deg, I 19
- 65.7 deg, I 12
- 74.3 deg, I 17
- 75.1 deg, I 16

Crystal structure
abc: 3.9950 3.9950 9.9586
angles: 90.00 90.00 120.00
Positions (direct):
Er 0.3333 0.6667 0.1665
Er 0.6667 0.3333 0.8335
Tm 0.0000 0.0000 0.5000
Se 0.0000 0.0000 0.0000
Se 0.3333 0.6667 0.6661
Se 0.6667 0.3333 0.3339

=====

# 10
This entry pairs a crystal structure of RbHoSeO with its theoretical powder X-ray diffraction pattern. Radiation: λ = 1.5418 Å (Cu Kα). Structure: a GGA-PBE-relaxed structure.
Kinematic intensities with the Lorentz-polarization factor, no thermal factor.

Peak list (10 most intense, 10 to 80 degrees two-theta, in order of rising 2θ)
- 24.5 deg, I 67
- 28.8 deg, I 70
- 28.9 deg, I 64
- 31.8 deg, I 100
- 34.4 deg, I 50
- 34.5 deg, I 67
- 44.2 deg, I 60
- 53.6 deg, I 23
- 53.7 deg, I 24
- 57.3 deg, I 20

Crystal structure
abc: 5.7965 5.7954 12.1538
angles: 90.00 103.48 90.00
Positions (direct):
Rb 0.1864 0.0000 0.3898
Rb 0.3136 0.5000 0.6102
Rb 0.6864 0.5000 0.3898
Rb 0.8136 0.0000 0.6102
Ho 0.2092 0.2464 0.9155
Ho 0.2908 0.7464 0.0845
Ho 0.7092 0.7464 0.9155
Ho 0.7908 0.2464 0.0845
Se 0.1254 0.5002 0.2666
Se 0.3746 0.0002 0.7334
Se 0.6254 0.0002 0.2666
Se 0.8746 0.5002 0.7334
O 0.0000 0.4960 0.0000
O 0.0000 0.9958 0.0000
O 0.5000 0.4958 0.0000
O 0.5000 0.9960 0.0000

=====

# 11
This entry pairs a crystal structure of Rb2Pm4Cu4Te9 with its theoretical powder X-ray diffraction pattern. Radiation: λ = 1.5418 Å (Cu Kα). Structure: a GGA-PBE-relaxed structure.
Kinematic intensities with the Lorentz-polarization factor, no thermal factor.

Peak list (10 most intense, 10 to 80 degrees two-theta, in order of rising 2θ)
- 12.0 deg, I 53
- 25.2 deg, I 49
- 26.4 deg, I 73
- 26.9 deg, I 100
- 27.0 deg, I 61
- 28.3 deg, I 51
- 28.6 deg, I 70
- 35.2 deg, I 56
- 38.6 deg, I 45
- 40.6 deg, I 86

Crystal structure
abc: 8.0885 8.0885 17.8961
angles: 107.53 107.53 31.89
Positions (direct):
Rb 0.0321 0.0321 0.2727
Rb 0.9679 0.9679 0.7273
Pm 0.2285 0.2285 0.1002
Pm 0.3441 0.3441 0.4434
Pm 0.6559 0.6559 0.5566
Pm 0.7715 0.7715 0.8998
Cu 0.2425 0.2425 0.7333
Cu 0.4200 0.4200 0.0210
Cu 0.5800 0.5800 0.9790
Cu 0.7575 0.7575 0.2667
Te 0.0000 0.0000 0.5000
Te 0.1298 0.1298 0.9210
Te 0.3035 0.3035 0.6076
Te 0.3514 0.3514 0.2737
Te 0.3988 0.3988 0.8690
Te 0.6012 0.6012 0.1310
Te 0.6486 0.6486 0.7263
Te 0.6965 0.6965 0.3924
Te 0.8702 0.8702 0.0790

=====

# 12
This entry pairs a crystal structure of Sm2Co17N3 with its theoretical powder X-ray diffraction pattern. Radiation: λ = 1.5418 Å (Cu Kα). Structure: a GGA-PBE-relaxed structure.
Kinematic intensities with the Lorentz-polarization factor, no thermal factor.

Peak list (10 most intense, 10 to 80 degrees two-theta, in order of rising 2θ)
- 30.1 deg, I 40
- 36.4 deg, I 37
- 37.9 deg, I 33
- 42.3 deg, I 81
- 42.7 deg, I 100
- 43.7 deg, I 20
- 44.0 deg, I 52
- 48.0 deg, I 19
- 61.7 deg, I 22
- 62.7 deg, I 19

Crystal structure
abc: 6.4270 6.4270 6.4270
angles: 83.38 83.38 83.38
Positions (direct):
Sm 0.1556 0.1556 0.1556
Sm 0.8444 0.8444 0.8444
Co 0.0000 0.5000 0.5000
Co 0.1592 0.1592 0.6359
Co 0.1592 0.6359 0.1592
Co 0.2206 0.5000 0.7794
Co 0.2206 0.7794 0.5000
Co 0.3641 0.8408 0.8408
Co 0.4064 0.4064 0.4064
Co 0.5000 0.0000 0.5000
Co 0.5000 0.2206 0.7794
Co 0.5000 0.5000 0.0000
Co 0.5000 0.7794 0.2206
Co 0.5936 0.5936 0.5936
Co 0.6359 0.1592 0.1592
Co 0.7794 0.2206 0.5000
Co 0.7794 0.5000 0.2206
Co 0.8408 0.3641 0.8408
Co 0.8408 0.8408 0.3641
N 0.0000 0.0000 0.5000
N 0.0000 0.5000 0.0000
N 0.5000 0.0000 0.0000

=====

# 13
This entry pairs a crystal structure of Y2CoPdC with its theoretical powder X-ray diffraction pattern. Radiation: λ = 1.5418 Å (Cu Kα). Structure: a GGA-PBE-relaxed structure.
Kinematic intensities with the Lorentz-polarization factor, no thermal factor.

Peak list (10 most intense, 10 to 80 degrees two-theta, in order of rising 2θ)
- 17.8 deg, I 3
- 30.6 deg, I 4
- 35.7 deg, I 100
- 36.1 deg, I 55
- 50.7 deg, I 10
- 51.9 deg, I 18
- 63.8 deg, I 19
- 64.6 deg, I 34
- 75.5 deg, I 12
- 76.5 deg, I 6

Crystal structure
abc: 4.9811 4.9811 3.6005
angles: 90.00 90.00 90.00
Positions (direct):
Y 0.0000 0.5000 0.0000
Y 0.5000 0.0000 0.0000
Co 0.0000 0.0000 0.5000
Pd 0.5000 0.5000 0.5000
C 0.0000 0.0000 0.0000